# Nd2UPdSe5
Theoretical PXRD pattern, a wavelength of 1.5418 Å. Input: a cell relaxed with GGA-PBE.
Lines closer than 0.1° are merged.

Structural model:
```
data_Nd2UPdSe5
_space_group_name_H-M_alt 'P 1'
_space_group_IT_number 1
_cell_length_a 8.8951
_cell_length_b 8.8951
_cell_length_c 12.6470
_cell_angle_alpha 90.00
_cell_angle_beta 90.00
_cell_angle_gamma 153.71
loop_
_space_group_symop_operation_xyz
'x,y,z'
loop_
_atom_site_label
_atom_site_type_symbol
_atom_site_fract_x
_atom_site_fract_y
_atom_site_fract_z
_atom_site_occupancy
Nd1 Nd 0.1007 0.8993 0.5000 1
Nd2 Nd 0.1215 0.8785 0.8443 1
Nd3 Nd 0.8785 0.1215 0.3443 1
Nd4 Nd 0.8993 0.1007 0.0000 1
U1 U 0.1772 0.8228 0.1685 1
U2 U 0.8228 0.1772 0.6685 1
Pd1 Pd 0.4423 0.5577 0.5663 1
Pd2 Pd 0.5577 0.4423 0.0663 1
Se1 Se 0.0161 0.9839 0.1741 1
Se2 Se 0.3013 0.6987 0.5053 1
Se3 Se 0.3057 0.6943 0.8304 1
Se4 Se 0.3432 0.6568 0.1663 1
Se5 Se 0.4974 0.5026 0.8858 1
Se6 Se 0.5026 0.4974 0.3858 1
Se7 Se 0.6568 0.3432 0.6663 1
Se8 Se 0.6943 0.3057 0.3304 1
Se9 Se 0.6987 0.3013 0.0053 1
Se10 Se 0.9839 0.0161 0.6741 1
```

Largest 10 diffraction maxima, in order of rising 2θ, 2θ from 10° to 80°:
Position (°2θ), I/Imax
12.4, 120
23.5, 185
31.1, 1000
31.8, 197
34.1, 172
34.8, 126
37.0, 409
42.4, 137
42.9, 150
44.8, 330